1.
Starting from the GGA-PBE geometry in the Materials Project, the X-ray diffraction stick pattern of CaNi4S8 was computed for Cu Kα (λ = 1.5418 Å).
Neutral-atom scattering factors, no anomalous dispersion.

Structural model:
```
data_CaNi4S8
_chemical_formula_sum 'Ca1 Ni4 S8'
_symmetry_space_group_name_H-M 'P 1'
_symmetry_Int_Tables_number 1
_cell_length_a 6.918
_cell_length_b 6.918
_cell_length_c 6.918
_cell_angle_alpha 60.52
_cell_angle_beta 60.52
_cell_angle_gamma 60.52
loop_
_symmetry_equiv_pos_as_xyz
'x,y,z'
loop_
_atom_site_label
_atom_site_type_symbol
_atom_site_fract_x
_atom_site_fract_y
_atom_site_fract_z
Ca1 Ca 0.000 0.000 0.000
Ni1 Ni 0.000 0.500 0.500
Ni2 Ni 0.500 0.000 0.500
Ni3 Ni 0.500 0.500 0.000
Ni4 Ni 0.500 0.500 0.500
S1 S 0.265 0.265 0.265
S2 S 0.271 0.271 0.700
S3 S 0.271 0.700 0.271
S4 S 0.300 0.729 0.729
S5 S 0.700 0.271 0.271
S6 S 0.729 0.300 0.729
S7 S 0.729 0.729 0.300
S8 S 0.735 0.735 0.735
```

Largest 6 diffraction maxima, by angle, 2θ from 5° to 70°:
2θ 15.59, I 52
2θ 15.75, I 40
2θ 30.09, I 21
2θ 36.60, I 100
2θ 52.50, I 29
2θ 52.95, I 30


2.
Starting from the GGA-PBE geometry in the Materials Project, the X-ray diffraction stick pattern of ZrCuP2O12 was computed for Cu Kα (λ = 1.5418 Å).
Neutral-atom scattering factors, no anomalous dispersion.

Structural model:
```
data_ZrCuP2O12
_chemical_formula_sum 'Zr1 Cu1 P2 O12'
_symmetry_space_group_name_H-M 'P 1'
_symmetry_Int_Tables_number 1
_cell_length_a 5.381
_cell_length_b 5.402
_cell_length_c 9.436
_cell_angle_alpha 80.76
_cell_angle_beta 85.54
_cell_angle_gamma 60.55
loop_
_symmetry_equiv_pos_as_xyz
'x,y,z'
loop_
_atom_site_label
_atom_site_type_symbol
_atom_site_fract_x
_atom_site_fract_y
_atom_site_fract_z
Zr1 Zr 0.000 0.000 0.000
Cu1 Cu 0.500 0.500 0.500
P1 P 0.337 0.394 0.820
P2 P 0.663 0.606 0.180
O1 O 0.084 0.856 0.430
O2 O 0.147 0.269 0.890
O3 O 0.242 0.688 0.867
O4 O 0.286 0.427 0.654
O5 O 0.347 0.813 0.143
O6 O 0.443 0.822 0.566
O7 O 0.557 0.178 0.434
O8 O 0.653 0.187 0.857
O9 O 0.714 0.573 0.346
O10 O 0.758 0.312 0.133
O11 O 0.853 0.731 0.110
O12 O 0.916 0.144 0.570
```

Largest 6 diffraction maxima, by angle, 2θ from 5° to 70°:
2θ 19.06, I 42
2θ 19.25, I 69
2θ 20.08, I 60
2θ 21.24, I 100
2θ 29.07, I 41
2θ 34.66, I 30


3.
Starting from the GGA-PBE geometry in the Materials Project, the X-ray diffraction stick pattern of CsLuNb6Cl18 was computed for Cu Kα (λ = 1.5418 Å).
Neutral-atom scattering factors, no anomalous dispersion.

Structural model:
```
data_CsLuNb6Cl18
_chemical_formula_sum 'Cs2 Lu2 Nb12 Cl36'
_symmetry_space_group_name_H-M 'P 1'
_symmetry_Int_Tables_number 1
_cell_length_a 9.406
_cell_length_b 9.406
_cell_length_c 17.507
_cell_angle_alpha 90.00
_cell_angle_beta 90.00
_cell_angle_gamma 120.00
loop_
_symmetry_equiv_pos_as_xyz
'x,y,z'
loop_
_atom_site_label
_atom_site_type_symbol
_atom_site_fract_x
_atom_site_fract_y
_atom_site_fract_z
Cs1 Cs 0.333 0.667 0.250
Cs2 Cs 0.667 0.333 0.750
Lu1 Lu 0.333 0.667 0.750
Lu2 Lu 0.667 0.333 0.250
Nb1 Nb 0.042 0.197 0.568
Nb2 Nb 0.042 0.845 0.932
Nb3 Nb 0.155 0.197 0.932
Nb4 Nb 0.155 0.958 0.568
Nb5 Nb 0.197 0.042 0.068
Nb6 Nb 0.197 0.155 0.432
Nb7 Nb 0.803 0.845 0.568
Nb8 Nb 0.803 0.958 0.932
Nb9 Nb 0.845 0.042 0.432
Nb10 Nb 0.845 0.803 0.068
Nb11 Nb 0.958 0.155 0.068
Nb12 Nb 0.958 0.803 0.432
Cl1 Cl 0.049 0.234 0.340
Cl2 Cl 0.049 0.815 0.160
Cl3 Cl 0.094 0.452 0.663
Cl4 Cl 0.094 0.642 0.837
Cl5 Cl 0.138 0.416 0.002
Cl6 Cl 0.138 0.722 0.498
Cl7 Cl 0.185 0.234 0.160
Cl8 Cl 0.185 0.951 0.340
Cl9 Cl 0.234 0.049 0.840
Cl10 Cl 0.234 0.185 0.660
Cl11 Cl 0.278 0.416 0.498
Cl12 Cl 0.278 0.862 0.002
Cl13 Cl 0.358 0.452 0.837
Cl14 Cl 0.358 0.906 0.663
Cl15 Cl 0.416 0.138 0.502
Cl16 Cl 0.416 0.278 0.998
Cl17 Cl 0.452 0.094 0.163
Cl18 Cl 0.452 0.358 0.337
Cl19 Cl 0.548 0.642 0.663
Cl20 Cl 0.548 0.906 0.837
Cl21 Cl 0.584 0.722 0.002
Cl22 Cl 0.584 0.862 0.498
Cl23 Cl 0.642 0.094 0.337
Cl24 Cl 0.642 0.548 0.163
Cl25 Cl 0.722 0.138 0.998
Cl26 Cl 0.722 0.584 0.502
Cl27 Cl 0.766 0.815 0.340
Cl28 Cl 0.766 0.951 0.160
Cl29 Cl 0.815 0.049 0.660
Cl30 Cl 0.815 0.766 0.840
Cl31 Cl 0.862 0.278 0.502
Cl32 Cl 0.862 0.584 0.998
Cl33 Cl 0.906 0.358 0.163
Cl34 Cl 0.906 0.548 0.337
Cl35 Cl 0.951 0.185 0.840
Cl36 Cl 0.951 0.766 0.660
```

Largest 6 diffraction maxima, by angle, 2θ from 5° to 70°:
2θ 10.86, I 49
2θ 14.86, I 100
2θ 21.45, I 40
2θ 23.07, I 23
2θ 35.65, I 46
2θ 42.73, I 38


4.
Starting from the GGA-PBE geometry in the Materials Project, the X-ray diffraction stick pattern of Li6SbS2 was computed for Cu Kα (λ = 1.5418 Å).
Neutral-atom scattering factors, no anomalous dispersion.

Structural model:
```
data_Li6SbS2
_chemical_formula_sum 'Li24 Sb4 S8'
_symmetry_space_group_name_H-M 'P 1'
_symmetry_Int_Tables_number 1
_cell_length_a 6.008
_cell_length_b 6.187
_cell_length_c 18.037
_cell_angle_alpha 90.00
_cell_angle_beta 100.54
_cell_angle_gamma 90.00
loop_
_symmetry_equiv_pos_as_xyz
'x,y,z'
loop_
_atom_site_label
_atom_site_type_symbol
_atom_site_fract_x
_atom_site_fract_y
_atom_site_fract_z
Li1 Li 0.022 0.237 0.327
Li2 Li 0.022 0.263 0.827
Li3 Li 0.026 0.717 0.830
Li4 Li 0.026 0.783 0.330
Li5 Li 0.037 0.242 0.502
Li6 Li 0.037 0.258 0.002
Li7 Li 0.412 0.668 0.029
Li8 Li 0.412 0.832 0.529
Li9 Li 0.460 0.240 0.664
Li10 Li 0.460 0.260 0.164
Li11 Li 0.463 0.744 0.678
Li12 Li 0.463 0.756 0.178
Li13 Li 0.537 0.244 0.822
Li14 Li 0.537 0.256 0.322
Li15 Li 0.540 0.740 0.836
Li16 Li 0.540 0.760 0.336
Li17 Li 0.588 0.168 0.471
Li18 Li 0.588 0.332 0.971
Li19 Li 0.963 0.742 0.998
Li20 Li 0.963 0.758 0.498
Li21 Li 0.974 0.217 0.670
Li22 Li 0.974 0.283 0.170
Li23 Li 0.978 0.737 0.173
Li24 Li 0.978 0.763 0.673
Sb1 Sb 0.318 0.505 0.432
Sb2 Sb 0.318 0.995 0.932
Sb3 Sb 0.682 0.005 0.068
Sb4 Sb 0.682 0.495 0.568
S1 S 0.187 0.512 0.101
S2 S 0.187 0.988 0.601
S3 S 0.239 0.010 0.248
S4 S 0.239 0.490 0.748
S5 S 0.761 0.510 0.252
S6 S 0.761 0.990 0.752
S7 S 0.813 0.012 0.399
S8 S 0.813 0.488 0.899
```

Largest 6 diffraction maxima, by angle, 2θ from 5° to 70°:
2θ 9.98, I 31
2θ 15.17, I 55
2θ 20.74, I 41
2θ 24.03, I 100
2θ 27.32, I 70
2θ 42.30, I 40


5.
Starting from the GGA-PBE geometry in the Materials Project, the X-ray diffraction stick pattern of Bi2O5 was computed for Cu Kα (λ = 1.5418 Å).
Neutral-atom scattering factors, no anomalous dispersion.

Structural model:
```
data_Bi2O5
_chemical_formula_sum 'Bi4 O10'
_symmetry_space_group_name_H-M 'P 1'
_symmetry_Int_Tables_number 1
_cell_length_a 6.278
_cell_length_b 10.395
_cell_length_c 3.991
_cell_angle_alpha 90.00
_cell_angle_beta 90.00
_cell_angle_gamma 90.00
loop_
_symmetry_equiv_pos_as_xyz
'x,y,z'
loop_
_atom_site_label
_atom_site_type_symbol
_atom_site_fract_x
_atom_site_fract_y
_atom_site_fract_z
Bi1 Bi 0.236 0.141 0.000
Bi2 Bi 0.264 0.641 0.000
Bi3 Bi 0.736 0.359 0.000
Bi4 Bi 0.764 0.859 0.000
O1 O 0.000 0.000 0.000
O2 O 0.072 0.315 0.000
O3 O 0.202 0.586 0.500
O4 O 0.298 0.086 0.500
O5 O 0.428 0.815 0.000
O6 O 0.500 0.500 0.000
O7 O 0.572 0.185 0.000
O8 O 0.702 0.914 0.500
O9 O 0.798 0.414 0.500
O10 O 0.928 0.685 0.000
```

Largest 6 diffraction maxima, by angle, 2θ from 5° to 70°:
2θ 22.23, I 100
2θ 28.43, I 16
2θ 31.66, I 41
2θ 36.42, I 13
2θ 51.04, I 12
2θ 51.15, I 15


6.
Starting from the GGA-PBE geometry in the Materials Project, the X-ray diffraction stick pattern of PrAgHg2 was computed for Cu Kα (λ = 1.5418 Å).
Neutral-atom scattering factors, no anomalous dispersion.

Structural model:
```
data_PrAgHg2
_chemical_formula_sum 'Pr1 Ag1 Hg2'
_symmetry_space_group_name_H-M 'P 1'
_symmetry_Int_Tables_number 1
_cell_length_a 5.159
_cell_length_b 5.159
_cell_length_c 5.159
_cell_angle_alpha 60.00
_cell_angle_beta 60.00
_cell_angle_gamma 60.00
loop_
_symmetry_equiv_pos_as_xyz
'x,y,z'
loop_
_atom_site_label
_atom_site_type_symbol
_atom_site_fract_x
_atom_site_fract_y
_atom_site_fract_z
Pr1 Pr 0.000 0.000 0.000
Ag1 Ag 0.500 0.500 0.500
Hg1 Hg 0.250 0.250 0.250
Hg2 Hg 0.750 0.750 0.750
```

Largest 6 diffraction maxima, by angle, 2θ from 5° to 70°:
2θ 24.40, I 6
2θ 34.78, I 100
2θ 42.94, I 2
2θ 50.00, I 18
2θ 56.39, I 3
2θ 62.34, I 37


7.
Starting from the GGA-PBE geometry in the Materials Project, the X-ray diffraction stick pattern of Nd3Cd2Si3O13 was computed for Cu Kα (λ = 1.5418 Å).
Neutral-atom scattering factors, no anomalous dispersion.

Structural model:
```
data_Nd3Cd2Si3O13
_chemical_formula_sum 'Nd6 Cd4 Si6 O26'
_symmetry_space_group_name_H-M 'P 1'
_symmetry_Int_Tables_number 1
_cell_length_a 9.649
_cell_length_b 9.649
_cell_length_c 7.010
_cell_angle_alpha 90.00
_cell_angle_beta 90.00
_cell_angle_gamma 120.00
loop_
_symmetry_equiv_pos_as_xyz
'x,y,z'
loop_
_atom_site_label
_atom_site_type_symbol
_atom_site_fract_x
_atom_site_fract_y
_atom_site_fract_z
Nd1 Nd 0.010 0.249 0.250
Nd2 Nd 0.239 0.990 0.250
Nd3 Nd 0.249 0.239 0.750
Nd4 Nd 0.751 0.761 0.250
Nd5 Nd 0.761 0.010 0.750
Nd6 Nd 0.990 0.751 0.750
Cd1 Cd 0.333 0.667 0.005
Cd2 Cd 0.333 0.667 0.495
Cd3 Cd 0.667 0.333 0.505
Cd4 Cd 0.667 0.333 0.995
Si1 Si 0.027 0.399 0.750
Si2 Si 0.371 0.973 0.750
Si3 Si 0.399 0.371 0.250
Si4 Si 0.601 0.629 0.750
Si5 Si 0.629 0.027 0.250
Si6 Si 0.973 0.601 0.250
O1 O 0.000 0.000 0.250
O2 O 0.000 0.000 0.750
O3 O 0.085 0.332 0.567
O4 O 0.085 0.332 0.933
O5 O 0.126 0.595 0.750
O6 O 0.169 0.684 0.250
O7 O 0.247 0.915 0.567
O8 O 0.247 0.915 0.933
O9 O 0.316 0.485 0.250
O10 O 0.332 0.247 0.067
O11 O 0.332 0.247 0.433
O12 O 0.405 0.531 0.750
O13 O 0.469 0.874 0.750
O14 O 0.485 0.169 0.750
O15 O 0.515 0.831 0.250
O16 O 0.531 0.126 0.250
O17 O 0.595 0.469 0.250
O18 O 0.668 0.753 0.567
O19 O 0.668 0.753 0.933
O20 O 0.684 0.515 0.750
O21 O 0.753 0.085 0.067
O22 O 0.753 0.085 0.433
O23 O 0.831 0.316 0.750
O24 O 0.874 0.405 0.250
O25 O 0.915 0.668 0.067
O26 O 0.915 0.668 0.433
```

Largest 6 diffraction maxima, by angle, 2θ from 5° to 70°:
2θ 27.60, I 33
2θ 28.26, I 35
2θ 31.06, I 100
2θ 31.55, I 54
2θ 32.14, I 35
2θ 48.46, I 34


8.
Starting from the GGA-PBE geometry in the Materials Project, the X-ray diffraction stick pattern of CuAsPb2SO9 was computed for Cu Kα (λ = 1.5418 Å).
Neutral-atom scattering factors, no anomalous dispersion.

Structural model:
```
data_CuAsPb2SO9
_chemical_formula_sum 'Cu2 As2 Pb4 S2 O18'
_symmetry_space_group_name_H-M 'P 1'
_symmetry_Int_Tables_number 1
_cell_length_a 8.474
_cell_length_b 5.876
_cell_length_c 8.660
_cell_angle_alpha 90.00
_cell_angle_beta 111.21
_cell_angle_gamma 90.00
loop_
_symmetry_equiv_pos_as_xyz
'x,y,z'
loop_
_atom_site_label
_atom_site_type_symbol
_atom_site_fract_x
_atom_site_fract_y
_atom_site_fract_z
Cu1 Cu 0.000 0.000 0.000
Cu2 Cu 0.000 0.500 0.000
As1 As 0.026 0.250 0.338
As2 As 0.974 0.750 0.662
Pb1 Pb 0.268 0.750 0.366
Pb2 Pb 0.306 0.250 0.766
Pb3 Pb 0.694 0.750 0.234
Pb4 Pb 0.732 0.250 0.634
S1 S 0.453 0.250 0.178
S2 S 0.547 0.750 0.822
O1 O 0.003 0.501 0.783
O2 O 0.003 0.999 0.783
O3 O 0.115 0.750 0.566
O4 O 0.137 0.750 0.059
O5 O 0.236 0.250 0.464
O6 O 0.269 0.250 0.078
O7 O 0.446 0.750 0.930
O8 O 0.497 0.041 0.289
O9 O 0.497 0.459 0.289
O10 O 0.503 0.541 0.711
O11 O 0.503 0.959 0.711
O12 O 0.554 0.250 0.070
O13 O 0.731 0.750 0.922
O14 O 0.764 0.750 0.536
O15 O 0.863 0.250 0.941
O16 O 0.885 0.250 0.434
O17 O 0.997 0.001 0.217
O18 O 0.997 0.499 0.217
```

Largest 6 diffraction maxima, by angle, 2θ from 5° to 70°:
2θ 18.68, I 51
2θ 23.82, I 36
2θ 26.09, I 100
2θ 29.50, I 35
2θ 30.42, I 36
2θ 32.43, I 45


9.
Starting from the GGA-PBE geometry in the Materials Project, the X-ray diffraction stick pattern of TiSn2O4 was computed for Cu Kα (λ = 1.5418 Å).
Neutral-atom scattering factors, no anomalous dispersion.

Structural model:
```
data_TiSn2O4
_chemical_formula_sum 'Ti4 Sn8 O16'
_symmetry_space_group_name_H-M 'P 1'
_symmetry_Int_Tables_number 1
_cell_length_a 8.619
_cell_length_b 8.619
_cell_length_c 6.005
_cell_angle_alpha 90.00
_cell_angle_beta 90.00
_cell_angle_gamma 90.00
loop_
_symmetry_equiv_pos_as_xyz
'x,y,z'
loop_
_atom_site_label
_atom_site_type_symbol
_atom_site_fract_x
_atom_site_fract_y
_atom_site_fract_z
Ti1 Ti 0.000 0.500 0.250
Ti2 Ti 0.000 0.500 0.750
Ti3 Ti 0.500 0.000 0.250
Ti4 Ti 0.500 0.000 0.750
Sn1 Sn 0.147 0.163 0.000
Sn2 Sn 0.163 0.853 0.500
Sn3 Sn 0.337 0.353 0.500
Sn4 Sn 0.353 0.663 0.000
Sn5 Sn 0.647 0.337 0.000
Sn6 Sn 0.663 0.647 0.500
Sn7 Sn 0.837 0.147 0.500
Sn8 Sn 0.853 0.837 0.000
O1 O 0.097 0.619 0.000
O2 O 0.119 0.597 0.500
O3 O 0.163 0.337 0.250
O4 O 0.163 0.337 0.750
O5 O 0.337 0.837 0.250
O6 O 0.337 0.837 0.750
O7 O 0.381 0.097 0.500
O8 O 0.403 0.119 0.000
O9 O 0.597 0.881 0.000
O10 O 0.619 0.903 0.500
O11 O 0.663 0.163 0.250
O12 O 0.663 0.163 0.750
O13 O 0.837 0.663 0.250
O14 O 0.837 0.663 0.750
O15 O 0.881 0.403 0.500
O16 O 0.903 0.381 0.000
```

Largest 6 diffraction maxima, by angle, 2θ from 5° to 70°:
2θ 27.50, I 100
2θ 32.86, I 21
2θ 45.97, I 15
2θ 51.44, I 19
2θ 54.54, I 20
2θ 59.80, I 15